No. 1
# Ga6CuIr3
Calculated XRD peak list, Cu Kα, 1.54184 Å. Input: a cell relaxed with GGA-PBE.
Intensities are scaled so that the largest is 100.

Crystal structure
```
20
Lattice="6.9164 0.0000 0.0000 0.0000 5.9887 0.0000 -5.3318 0.0000 8.0960" Properties=species:S:1:pos:R:3 pbc="T T T"
Ga -1.0953 0.0151 2.2646
Ga -3.7612 2.9792 6.3125
Ga -1.4281 0.9746 4.9227
Ga 1.2378 2.0198 0.8747
Ga -0.3060 3.6615 4.5438
Ga 2.3599 5.3215 0.4958
Ga -0.7753 0.6672 7.6001
Ga 1.8906 2.3272 3.5521
Ga 0.3468 3.9689 7.2212
Ga 3.0127 5.0142 3.1732
Ga 5.3458 3.0095 1.7834
Ga 2.6799 5.9736 5.8314
Cu 0.7923 0.0000 4.0480
Cu 3.4582 2.9944 0.0000
Ir 0.0000 0.0000 0.0000
Ir -2.6659 2.9944 4.0480
Ir 0.6318 4.1397 2.1718
Ir -2.0341 4.8433 6.2198
Ir 3.6187 1.1454 1.8762
Ir 0.9528 1.8490 5.9242
```

Top 8 peaks for 2θ = 10–90°, sorted by position:
21.37 deg, intensity 83; 23.85 deg, intensity 75; 31.58 deg, intensity 64; 36.58 deg, intensity 47; 41.16 deg, intensity 61; 43.54 deg, intensity 100; 44.60 deg, intensity 59; 47.47 deg, intensity 81

No. 2
# Ga6CuIr5
Calculated XRD peak list, Cu Kα, 1.54184 Å. Input: a cell relaxed with GGA-PBE.
Intensities are scaled so that the largest is 100.

Crystal structure
```
12
Lattice="4.4495 0.0000 0.0000 0.0000 5.8320 0.0000 -1.2311 0.0000 6.6347" Properties=species:S:1:pos:R:3 pbc="T T T"
Ga 0.0000 1.4607 0.0000
Ga 0.0000 4.3713 0.0000
Ga 0.6332 1.4362 4.3845
Ga 0.6332 4.3958 4.3845
Ga 2.5853 1.4362 2.2503
Ga 2.5853 4.3958 2.2503
Cu 2.2248 2.9160 0.0000
Ir 0.2990 0.0000 2.1554
Ir 0.4310 2.9160 2.1416
Ir 2.2248 0.0000 0.0000
Ir 2.7875 2.9160 4.4932
Ir 2.9195 0.0000 4.4793
```

Top 8 peaks for 2θ = 10–90°, sorted by position:
26.37 deg, intensity 16; 30.65 deg, intensity 12; 40.85 deg, intensity 100; 41.02 deg, intensity 32; 43.95 deg, intensity 54; 54.28 deg, intensity 14; 72.16 deg, intensity 12; 78.59 deg, intensity 19

No. 3
# Nd2Ga3CuIr4
Calculated XRD peak list, Cu Kα, 1.54184 Å. Input: a cell relaxed with GGA-PBE.
Intensities are scaled so that the largest is 100.

Crystal structure
```
10
Lattice="4.2197 0.0000 0.0000 0.0000 4.2197 0.0000 0.0000 0.0000 10.4523" Properties=species:S:1:pos:R:3 pbc="T T T"
Nd 0.0000 2.1099 2.5924
Nd 2.1099 0.0000 7.8599
Ga 0.0000 2.1099 9.1138
Ga 2.1099 0.0000 1.3385
Ga 2.1099 2.1099 5.2262
Cu 0.0000 0.0000 5.2262
Ir 0.0000 0.0000 0.0000
Ir 0.0000 2.1099 6.6452
Ir 2.1099 0.0000 3.8071
Ir 2.1099 2.1099 0.0000
```

Top 8 peaks for 2θ = 10–90°, sorted by position:
31.17 deg, intensity 25; 33.35 deg, intensity 52; 34.62 deg, intensity 100; 42.86 deg, intensity 66; 46.18 deg, intensity 33; 48.60 deg, intensity 28; 55.37 deg, intensity 25; 73.21 deg, intensity 23

No. 4
# GaCuNiIr
Calculated XRD peak list, Cu Kα, 1.54184 Å. Input: a cell relaxed with GGA-PBE.
Intensities are scaled so that the largest is 100.

Crystal structure
```
4
Lattice="3.5583 0.0000 0.0000 0.0000 3.7763 0.0000 0.0000 0.0000 3.8431" Properties=species:S:1:pos:R:3 pbc="T T T"
Ga 0.0000 0.0000 0.0000
Cu 0.0000 1.8881 1.9215
Ni 1.7792 0.0000 1.9215
Ir 1.7792 1.8881 0.0000
```

Top 8 peaks for 2θ = 10–90°, sorted by position:
23.14 deg, intensity 12; 42.07 deg, intensity 100; 47.31 deg, intensity 18; 48.20 deg, intensity 17; 51.36 deg, intensity 14; 69.84 deg, intensity 11; 84.35 deg, intensity 13; 85.67 deg, intensity 13

No. 5
# SmGa4CuIr2
Calculated XRD peak list, Cu Kα, 1.54184 Å. Input: a cell relaxed with GGA-PBE.
Intensities are scaled so that the largest is 100.

Crystal structure
```
8
Lattice="2.1420 1.2367 8.5876 -2.1420 1.2367 8.5876 0.0000 -2.4733 8.5876" Properties=species:S:1:pos:R:3 pbc="T T T"
Sm 0.0000 0.0000 0.0000
Ga 0.0000 0.0000 3.3607
Ga 0.0000 0.0000 10.2974
Ga 0.0000 0.0000 15.4655
Ga 0.0000 0.0000 22.4022
Cu 0.0000 0.0000 12.8814
Ir 0.0000 0.0000 5.9700
Ir 0.0000 0.0000 19.7929
```

Top 8 peaks for 2θ = 10–90°, sorted by position:
27.75 deg, intensity 33; 29.67 deg, intensity 39; 36.96 deg, intensity 74; 42.19 deg, intensity 100; 45.82 deg, intensity 28; 52.37 deg, intensity 23; 57.32 deg, intensity 21; 73.69 deg, intensity 19

No. 6
# Tm2Ga4Cu3Ir
Calculated XRD peak list, Cu Kα, 1.54184 Å. Input: a cell relaxed with GGA-PBE.
Intensities are scaled so that the largest is 100.

Crystal structure
```
10
Lattice="4.0037 0.0000 0.0000 0.0000 4.0037 0.0000 0.0000 0.0000 10.6168" Properties=species:S:1:pos:R:3 pbc="T T T"
Tm 0.0000 2.0018 2.6407
Tm 2.0018 0.0000 7.9761
Ga 0.0000 0.0000 0.0000
Ga 0.0000 2.0018 6.7857
Ga 2.0018 0.0000 3.8311
Ga 2.0018 2.0018 0.0000
Cu 0.0000 2.0018 9.1522
Cu 2.0018 0.0000 1.4646
Cu 2.0018 2.0018 5.3084
Ir 0.0000 0.0000 5.3084
```

Top 8 peaks for 2θ = 10–90°, sorted by position:
33.80 deg, intensity 57; 35.95 deg, intensity 100; 45.30 deg, intensity 44; 48.53 deg, intensity 26; 57.69 deg, intensity 29; 66.00 deg, intensity 14; 68.56 deg, intensity 18; 77.51 deg, intensity 21

No. 7
# KGa7Cu12
Calculated XRD peak list, Cu Kα, 1.54184 Å. Input: a cell relaxed with GGA-PBE.
Intensities are scaled so that the largest is 100.

Crystal structure
```
20
Lattice="6.3064 3.6410 2.1859 -6.3064 3.6410 2.1859 0.0000 -7.2820 2.1859" Properties=species:S:1:pos:R:3 pbc="T T T"
K 0.0000 0.0000 0.0000
Ga 0.0000 -2.5351 2.0268
Ga -2.1955 1.2675 2.0268
Ga -2.1955 -1.2676 4.5310
Ga 0.0000 0.0000 3.2789
Ga 2.1955 1.2675 2.0268
Ga 2.1955 -1.2675 4.5310
Ga 0.0000 2.5351 4.5310
Cu -1.7246 -4.2948 2.1859
Cu -4.5817 0.6538 2.1859
Cu -2.1547 -1.2440 1.8494
Cu 1.7246 -4.2948 2.1859
Cu -2.8571 3.6410 2.1859
Cu 2.1546 -1.2440 1.8494
Cu 0.0000 2.4880 1.8494
Cu 0.0000 -2.4880 4.7084
Cu -2.1547 1.2440 4.7084
Cu 4.5817 0.6538 2.1859
Cu 2.8571 3.6410 2.1859
Cu 2.1547 1.2440 4.7084
```

Top 8 peaks for 2θ = 10–90°, sorted by position:
34.94 deg, intensity 28; 35.61 deg, intensity 17; 38.46 deg, intensity 24; 40.54 deg, intensity 15; 41.30 deg, intensity 25; 43.06 deg, intensity 100; 45.56 deg, intensity 28; 61.17 deg, intensity 16

No. 8
# KGa9Cu2
Calculated XRD peak list, Cu Kα, 1.54184 Å. Input: a cell relaxed with GGA-PBE.
Intensities are scaled so that the largest is 100.

Crystal structure
```
24
Lattice="-5.4679 5.4679 3.7552 5.4679 -5.4679 3.7552 5.4679 5.4679 -3.7552" Properties=species:S:1:pos:R:3 pbc="T T T"
K 5.4679 2.7340 0.9388
K 0.0000 2.7340 2.8164
Ga 5.4679 -2.7340 2.8164
Ga 4.1243 -0.5681 1.3727
Ga 6.8115 -0.5681 1.3727
Ga 2.1658 1.3904 0.5049
Ga 8.7700 1.3904 0.5049
Ga 4.1243 4.8998 -1.3727
Ga 1.3436 -0.5681 2.3824
Ga 2.1658 4.0776 0.5049
Ga 3.3021 -1.3904 4.2600
Ga 2.1658 6.8583 -0.5049
Ga 3.3021 1.3904 3.2503
Ga 4.1243 6.0360 1.3727
Ga 1.3436 0.5681 5.1279
Ga -3.3021 4.0776 3.2503
Ga 3.3021 4.0776 3.2503
Ga -1.3436 6.0360 2.3824
Ga 1.3436 6.0360 2.3824
Ga 0.0000 8.2019 0.9388
Cu 0.0000 0.0000 0.0000
Cu 2.7340 2.7340 -1.8776
Cu 2.7340 -2.7340 1.8776
Cu 0.0000 5.4679 0.0000
```

Top 8 peaks for 2θ = 10–90°, sorted by position:
14.31 deg, intensity 30; 16.21 deg, intensity 17; 35.28 deg, intensity 70; 36.78 deg, intensity 72; 40.48 deg, intensity 35; 43.08 deg, intensity 100; 44.20 deg, intensity 36; 65.24 deg, intensity 17

No. 9
# KTlGaCu2
Calculated XRD peak list, Cu Kα, 1.54184 Å. Input: a cell relaxed with GGA-PBE.
Intensities are scaled so that the largest is 100.

Crystal structure
```
5
Lattice="5.0572 0.0000 0.0000 0.0000 5.0572 0.0000 0.0000 0.0000 6.2399" Properties=species:S:1:pos:R:3 pbc="T T T"
K 0.0000 0.0000 0.0000
Tl 0.0000 0.0000 3.1200
Ga 2.5286 2.5286 0.0000
Cu 0.0000 2.5286 3.1200
Cu 2.5286 0.0000 3.1200
```

Top 8 peaks for 2θ = 10–90°, sorted by position:
14.19 deg, intensity 67; 17.54 deg, intensity 48; 22.63 deg, intensity 100; 28.61 deg, intensity 55; 35.50 deg, intensity 62; 42.52 deg, intensity 40; 46.21 deg, intensity 58; 59.60 deg, intensity 27

No. 10
# La3Ga4Cu4
Calculated XRD peak list, Cu Kα, 1.54184 Å. Input: a cell relaxed with GGA-PBE.
Intensities are scaled so that the largest is 100.

Crystal structure
```
11
Lattice="4.1955 0.0000 0.0000 0.0144 4.2616 0.0000 2.0962 2.1227 12.8874" Properties=species:S:1:pos:R:3 pbc="T T T"
La 0.0000 0.0000 0.0000
La 2.1077 4.2552 9.0101
La 4.1984 2.1291 3.8774
Ga 2.1000 2.1321 6.4396
Ga 2.1042 4.2644 2.5616
Ga 4.2019 2.1200 10.3259
Ga 4.2061 4.2523 6.4478
Cu 2.1091 4.2639 5.0509
Cu 2.1002 2.1325 1.2548
Cu 4.2059 4.2518 11.6327
Cu 4.1969 2.1204 7.8365
```

Top 8 peaks for 2θ = 10–90°, sorted by position:
32.35 deg, intensity 98; 32.98 deg, intensity 100; 33.08 deg, intensity 99; 37.85 deg, intensity 52; 42.42 deg, intensity 58; 43.12 deg, intensity 56; 44.11 deg, intensity 43; 50.94 deg, intensity 31

No. 11
# La3Ga4Cu4
Calculated XRD peak list, Cu Kα, 1.54184 Å. Input: a cell relaxed with GGA-PBE.
Intensities are scaled so that the largest is 100.

Crystal structure
```
11
Lattice="4.2174 0.0000 0.0000 0.0058 4.3568 0.0000 2.1083 2.1183 12.5884" Properties=species:S:1:pos:R:3 pbc="T T T"
La 0.0000 0.0000 0.0000
La 2.1130 4.3180 8.7551
La 4.2184 2.1572 3.8333
Ga 2.1158 4.3436 5.0099
Ga 2.1039 2.1754 1.2997
Ga 4.2275 4.2998 11.2887
Ga 4.2156 2.1316 7.5785
Cu 2.1059 2.1692 6.2829
Cu 2.1133 4.3533 2.5046
Cu 4.2181 2.1219 10.0838
Cu 4.2256 4.3059 6.3055
```

Top 8 peaks for 2θ = 10–90°, sorted by position:
30.34 deg, intensity 25; 32.74 deg, intensity 100; 32.85 deg, intensity 45; 38.15 deg, intensity 16; 38.32 deg, intensity 16; 41.45 deg, intensity 34; 42.89 deg, intensity 29; 61.17 deg, intensity 20

No. 12
# La6GaCu
Calculated XRD peak list, Cu Kα, 1.54184 Å. Input: a cell relaxed with GGA-PBE.
Intensities are scaled so that the largest is 100.

Crystal structure
```
8
Lattice="-2.6753 2.6753 8.7040 2.6753 -2.6753 8.7040 2.6753 2.6753 -8.7040" Properties=species:S:1:pos:R:3 pbc="T T T"
La 2.6753 0.0000 1.7601
La 0.0000 0.0000 4.2655
La 2.6753 0.0000 6.9440
La 0.0000 2.6753 1.7601
La 0.0000 0.0000 13.1426
La 0.0000 2.6753 6.9440
Ga 0.0000 0.0000 0.0000
Cu 0.0000 0.0000 8.7040
```

Top 8 peaks for 2θ = 10–90°, sorted by position:
25.67 deg, intensity 19; 30.82 deg, intensity 11; 31.33 deg, intensity 100; 33.50 deg, intensity 52; 46.15 deg, intensity 14; 48.10 deg, intensity 19; 54.35 deg, intensity 10; 58.53 deg, intensity 33